Ca2H4Ir: theoretical powder X-ray diffraction pattern (Cu Kα), based on a PBE-relaxed structure.

Structural model:
Cell: 5.3850 7.3797 4.8978 Å, 90.00 90.00 90.00°
Element x y z (fractional)
Ca 0.2500 0.0069 0.2365
Ca 0.2500 0.4931 0.2365
Ca 0.7500 0.5069 0.7635
Ca 0.7500 0.9931 0.7635
H 0.0486 0.7500 0.3672
H 0.2500 0.0203 0.7392
H 0.2500 0.4797 0.7392
H 0.4514 0.7500 0.3672
H 0.5486 0.2500 0.6328
H 0.7500 0.5203 0.2608
H 0.7500 0.9797 0.2608
H 0.9514 0.2500 0.6328
Ir 0.2500 0.2500 0.7267
Ir 0.7500 0.7500 0.2733

The 10 most intense peaks (2θ from 10° to 90°), low angle first:
- (1 1 0), 2θ = 20.42°, I 97
- (0 1 1), 2θ = 21.78°, I 78
- (1 0 1), 2θ = 24.57°, I 18
- (2 0 0), 2θ = 33.28°, I 29
- (1 2 1), 2θ = 34.70°, I 100
- (0 0 2), 2θ = 36.70°, I 21
- (2 1 1), 2θ = 40.12°, I 31
- (0 3 1), 2θ = 41.06°, I 17
- (1 1 2), 2θ = 42.35°, I 28
- (3 2 1), 2θ = 60.38°, I 20